For La4In3Ga, a structure optimized by DFT (PBE) gives the theoretical powder diffraction line list in this record (a wavelength of 1.5418 Å).
Peak positions follow from Bragg's law for the DFT cell and can differ from measured ones.

Most intense lines, 5 to 70 degrees two-theta, in order of rising 2θ:
- 32.26°, rel. 100
- 32.60°, rel. 50
- 46.77°, rel. 18
- 57.32°, rel. 17
- 57.96°, rel. 37
- 67.51°, rel. 11

a = 3.8847 Å, b = 3.8847 Å, c = 15.8585 Å
α = 90.00°, β = 90.00°, γ = 90.00°
Fractional positions:
La: 0.0000 0.0000 0.1143
La: 0.0000 0.0000 0.3717
La: 0.0000 0.0000 0.6283
La: 0.0000 0.0000 0.8857
In: 0.5000 0.5000 0.2439
In: 0.5000 0.5000 0.5000
In: 0.5000 0.5000 0.7561
Ga: 0.5000 0.5000 0.0000



For PmPaPb, a structure optimized by DFT (PBE) gives the theoretical powder diffraction line list in this record (a wavelength of 1.5418 Å).
Peak positions follow from Bragg's law for the DFT cell and can differ from measured ones.

Most intense lines, 5 to 70 degrees two-theta, in order of rising 2θ:
- 30.88°, rel. 21
- 32.37°, rel. 70
- 33.13°, rel. 100
- 36.50°, rel. 22
- 47.00°, rel. 22
- 64.37°, rel. 30

a = 3.4270 Å, b = 5.4147 Å, c = 9.3539 Å
α = 90.00°, β = 90.00°, γ = 90.00°
Fractional positions:
Pm: 0.2500 0.2500 0.0584
Pm: 0.7500 0.7500 0.9416
Pa: 0.2500 0.7500 0.6049
Pa: 0.7500 0.2500 0.3951
Pb: 0.2500 0.7500 0.2598
Pb: 0.7500 0.2500 0.7402



For Nd2TlHg9, a structure optimized by DFT (PBE) gives the theoretical powder diffraction line list in this record (a wavelength of 1.5418 Å).
Peak positions follow from Bragg's law for the DFT cell and can differ from measured ones.

Most intense lines, 5 to 70 degrees two-theta, in order of rising 2θ:
- 32.88°, rel. 100
- 37.98°, rel. 34
- 38.48°, rel. 16
- 55.18°, rel. 23
- 65.40°, rel. 28
- 66.08°, rel. 13

a = 4.7383 Å, b = 4.7383 Å, c = 14.0368 Å
α = 90.00°, β = 90.00°, γ = 90.00°
Fractional positions:
Nd: 0.0000 0.0000 0.1720
Nd: 0.0000 0.0000 0.8280
Tl: 0.0000 0.0000 0.5000
Hg: 0.0000 0.5000 0.0000
Hg: 0.0000 0.5000 0.3309
Hg: 0.0000 0.5000 0.6691
Hg: 0.5000 0.0000 0.0000
Hg: 0.5000 0.0000 0.3309
Hg: 0.5000 0.0000 0.6691
Hg: 0.5000 0.5000 0.1558
Hg: 0.5000 0.5000 0.5000
Hg: 0.5000 0.5000 0.8442



For Tm8CdOs2, a structure optimized by DFT (PBE) gives the theoretical powder diffraction line list in this record (a wavelength of 1.5418 Å).
Peak positions follow from Bragg's law for the DFT cell and can differ from measured ones.

Most intense lines, 5 to 70 degrees two-theta, in order of rising 2θ:
- 31.58°, rel. 67
- 31.83°, rel. 49
- 33.57°, rel. 23
- 34.85°, rel. 78
- 35.85°, rel. 100
- 43.20°, rel. 27

a = 8.9087 Å, b = 8.9087 Å, c = 8.9087 Å
α = 146.41°, β = 57.62°, γ = 134.63°
Fractional positions:
Tm: 0.0000 0.0000 0.0000
Tm: 0.2530 0.5861 0.6669
Tm: 0.3375 0.4484 0.8891
Tm: 0.4166 0.1262 0.2904
Tm: 0.5592 0.4484 0.1109
Tm: 0.7216 0.2216 0.5000
Tm: 0.8357 0.1262 0.7096
Tm: 0.9193 0.5861 0.3331
Cd: 0.2957 0.7957 0.5000
Os: 0.6509 0.8204 0.8305
Os: 0.9899 0.8204 0.1695



For Na2CeVCl8, a structure optimized by DFT (PBE) gives the theoretical powder diffraction line list in this record (a wavelength of 1.5418 Å).
Peak positions follow from Bragg's law for the DFT cell and can differ from measured ones.

Most intense lines, 5 to 70 degrees two-theta, in order of rising 2θ:
- 13.54°, rel. 63
- 14.01°, rel. 61
- 18.90°, rel. 82
- 20.15°, rel. 53
- 29.57°, rel. 100
- 38.35°, rel. 69

a = 6.3327 Å, b = 7.8897 Å, c = 6.5542 Å
α = 90.00°, β = 93.64°, γ = 90.00°
Fractional positions:
Na: 0.0000 0.2333 0.0000
Na: 0.0000 0.7667 0.0000
Ce: 0.5000 0.5000 0.5000
V: 0.5000 0.0000 0.5000
Cl: 0.2286 0.5000 0.1718
Cl: 0.2577 0.0000 0.2079
Cl: 0.2921 0.2248 0.6551
Cl: 0.2921 0.7752 0.6551
Cl: 0.7079 0.2248 0.3449
Cl: 0.7079 0.7752 0.3449
Cl: 0.7423 0.0000 0.7921
Cl: 0.7714 0.5000 0.8282



For BeGa4Cu15, a structure optimized by DFT (PBE) gives the theoretical powder diffraction line list in this record (a wavelength of 1.5418 Å).
Peak positions follow from Bragg's law for the DFT cell and can differ from measured ones.

Most intense lines, 5 to 70 degrees two-theta, in order of rising 2θ:
- 5.03°, rel. 2
- 39.74°, rel. 3
- 42.76°, rel. 100
- 48.60°, rel. 35
- 52.11°, rel. 12
- 69.59°, rel. 2

a = 3.7465 Å, b = 3.7465 Å, c = 17.5521 Å
α = 90.00°, β = 90.00°, γ = 90.00°
Fractional positions:
Be: 0.0000 0.0000 0.0000
Ga: 0.0000 0.0000 0.1918
Ga: 0.0000 0.0000 0.3974
Ga: 0.0000 0.0000 0.6026
Ga: 0.0000 0.0000 0.8082
Cu: 0.0000 0.5000 0.0904
Cu: 0.0000 0.5000 0.2947
Cu: 0.0000 0.5000 0.5000
Cu: 0.0000 0.5000 0.7053
Cu: 0.0000 0.5000 0.9096
Cu: 0.5000 0.0000 0.0904
Cu: 0.5000 0.0000 0.2947
Cu: 0.5000 0.0000 0.5000
Cu: 0.5000 0.0000 0.7053
Cu: 0.5000 0.0000 0.9096
Cu: 0.5000 0.5000 0.0000
Cu: 0.5000 0.5000 0.1928
Cu: 0.5000 0.5000 0.3974
Cu: 0.5000 0.5000 0.6026
Cu: 0.5000 0.5000 0.8072



Repeat the first record exactly.
For La4In3Ga, a structure optimized by DFT (PBE) gives the theoretical powder diffraction line list in this record (a wavelength of 1.5418 Å).
Peak positions follow from Bragg's law for the DFT cell and can differ from measured ones.

Most intense lines, 5 to 70 degrees two-theta, in order of rising 2θ:
- 32.26°, rel. 100
- 32.60°, rel. 50
- 46.77°, rel. 18
- 57.32°, rel. 17
- 57.96°, rel. 37
- 67.51°, rel. 11

a = 3.8847 Å, b = 3.8847 Å, c = 15.8585 Å
α = 90.00°, β = 90.00°, γ = 90.00°
Fractional positions:
La: 0.0000 0.0000 0.1143
La: 0.0000 0.0000 0.3717
La: 0.0000 0.0000 0.6283
La: 0.0000 0.0000 0.8857
In: 0.5000 0.5000 0.2439
In: 0.5000 0.5000 0.5000
In: 0.5000 0.5000 0.7561
Ga: 0.5000 0.5000 0.0000